The following is a calculated powder diffractogram of La4PaBi5. It was derived from a crystal structure in Alexandria, relaxed with PBE, using CuKα.

Largest 10 diffraction maxima, most intense first, 15° ≤ 2θ ≤ 90°:
3.291 Å, rel. 100; 2.327 Å, rel. 79; 1.472 Å, rel. 38; 1.900 Å, rel. 29; 1.344 Å, rel. 28; 1.097 Å, rel. 19; 1.646 Å, rel. 14; 1.164 Å, rel. 9; 3.800 Å, rel. 4; 1.985 Å, rel. 2

abc: 8.062 8.062 8.062
angles: 99.60 99.60 131.81
Atoms (fractional coordinates):
La  0.096  0.302  0.398
La  0.302  0.904  0.205
La  0.698  0.096  0.795
La  0.904  0.698  0.602
Pa  0.500  0.500  0.000
Bi  0.000  0.000  0.000
Bi  0.210  0.598  0.808
Bi  0.402  0.210  0.612
Bi  0.598  0.790  0.388
Bi  0.790  0.402  0.192



The following is a calculated powder diffractogram of La3PaBi4. It was derived from a crystal structure in Alexandria, relaxed with PBE, using CuKα.

Largest 10 diffraction maxima, most intense first, 15° ≤ 2θ ≤ 90°:
3.284 Å, rel. 100; 2.322 Å, rel. 79; 1.469 Å, rel. 38; 1.896 Å, rel. 29; 1.341 Å, rel. 28; 1.095 Å, rel. 20; 1.642 Å, rel. 14; 1.161 Å, rel. 9; 3.793 Å, rel. 3; 5.875 Å, rel. 3

abc: 8.047 8.047 8.047
angles: 131.83 131.83 70.50
Atoms (fractional coordinates):
La  0.000  0.000  0.000
La  0.250  0.750  0.500
La  0.750  0.250  0.500
Pa  0.500  0.500  0.000
Bi  0.000  0.500  0.500
Bi  0.257  0.257  0.000
Bi  0.500  0.000  0.500
Bi  0.743  0.743  0.000



The following is a calculated powder diffractogram of La4BiPbSe2. It was derived from a crystal structure in Alexandria, relaxed with PBE, using CuKα.

Largest 10 diffraction maxima, most intense first, 15° ≤ 2θ ≤ 90°:
3.194 Å, rel. 100; 2.270 Å, rel. 39; 2.248 Å, rel. 38; 1.850 Å, rel. 21; 1.434 Å, rel. 18; 1.423 Å, rel. 17; 1.306 Å, rel. 13; 1.597 Å, rel. 13; 3.870 Å, rel. 9; 1.310 Å, rel. 7

abc: 7.759 4.538 7.866
angles: 90.00 109.70 90.00
Atoms (fractional coordinates):
La  0.237  0.000  0.243
La  0.238  0.500  0.748
La  0.762  0.500  0.252
La  0.763  0.000  0.757
Bi  0.500  0.500  0.500
Pb  0.500  0.000  0.000
Se  0.000  0.000  0.500
Se  0.000  0.500  0.000



The following is a calculated powder diffractogram of La8Bi3Te4Pb. It was derived from a crystal structure in Alexandria, relaxed with PBE, using CuKα.

Largest 10 diffraction maxima, most intense first, 15° ≤ 2θ ≤ 90°:
3.288 Å, rel. 100; 2.331 Å, rel. 39; 2.319 Å, rel. 39; 1.901 Å, rel. 21; 1.473 Å, rel. 19; 1.467 Å, rel. 18; 1.343 Å, rel. 14; 1.644 Å, rel. 13; 1.098 Å, rel. 8; 1.096 Å, rel. 8

abc: 9.275 9.275 9.275
angles: 60.34 60.34 60.34
Atoms (fractional coordinates):
La  0.250  0.250  0.250
La  0.252  0.747  0.747
La  0.253  0.253  0.748
La  0.253  0.748  0.253
La  0.747  0.252  0.747
La  0.747  0.747  0.252
La  0.748  0.253  0.253
La  0.750  0.750  0.750
Bi  0.000  0.000  0.500
Bi  0.000  0.500  0.000
Bi  0.500  0.000  0.000
Te  0.000  0.000  0.000
Te  0.000  0.500  0.500
Te  0.500  0.000  0.500
Te  0.500  0.500  0.000
Pb  0.500  0.500  0.500



The following is a calculated powder diffractogram of La3Bi4Pd3. It was derived from a crystal structure in Alexandria, relaxed with PBE, using CuKα.

Largest 10 diffraction maxima, most intense first, 15° ≤ 2θ ≤ 90°:
2.740 Å, rel. 100; 3.242 Å, rel. 35; 2.093 Å, rel. 21; 2.293 Å, rel. 21; 2.011 Å, rel. 20; 1.621 Å, rel. 13; 1.663 Å, rel. 11; 1.106 Å, rel. 10; 4.186 Å, rel. 10; 1.512 Å, rel. 9

abc: 8.880 8.880 8.880
angles: 109.47 109.47 109.47
Atoms (fractional coordinates):
La  0.125  0.750  0.875
La  0.250  0.625  0.375
La  0.375  0.250  0.625
La  0.625  0.375  0.250
La  0.750  0.875  0.125
La  0.875  0.125  0.750
Bi  0.000  0.332  0.500
Bi  0.000  0.832  0.500
Bi  0.168  0.168  0.168
Bi  0.332  0.500  0.000
Bi  0.500  0.000  0.332
Bi  0.500  0.000  0.832
Bi  0.668  0.668  0.668
Bi  0.832  0.500  0.000
Pd  0.125  0.875  0.250
Pd  0.250  0.125  0.875
Pd  0.375  0.625  0.750
Pd  0.625  0.750  0.375
Pd  0.750  0.375  0.625
Pd  0.875  0.250  0.125



The following is a calculated powder diffractogram of LaBiPd5. It was derived from a crystal structure in Alexandria, relaxed with PBE, using CuKα.

Largest 10 diffraction maxima, most intense first, 15° ≤ 2θ ≤ 90°:
2.309 Å, rel. 100; 2.546 Å, rel. 99; 2.157 Å, rel. 93; 2.649 Å, rel. 76; 2.168 Å, rel. 75; 2.532 Å, rel. 55; 2.179 Å, rel. 49; 2.785 Å, rel. 48; 1.447 Å, rel. 31; 2.360 Å, rel. 29

abc: 8.887 5.570 11.099
angles: 90.00 90.00 90.00
Atoms (fractional coordinates):
La  0.246  0.250  0.050
La  0.254  0.750  0.550
La  0.746  0.250  0.450
La  0.754  0.750  0.950
Bi  0.151  0.250  0.350
Bi  0.349  0.750  0.850
Bi  0.651  0.250  0.150
Bi  0.849  0.750  0.650
Pd  0.067  0.505  0.805
Pd  0.067  0.995  0.805
Pd  0.078  0.250  0.586
Pd  0.094  0.750  0.023
Pd  0.179  0.750  0.268
Pd  0.321  0.250  0.768
Pd  0.406  0.250  0.523
Pd  0.422  0.750  0.086
Pd  0.433  0.005  0.305
Pd  0.433  0.495  0.305
Pd  0.567  0.505  0.695
Pd  0.567  0.995  0.695
Pd  0.578  0.250  0.914
Pd  0.594  0.750  0.477
Pd  0.679  0.750  0.232
Pd  0.821  0.250  0.732
Pd  0.906  0.250  0.977
Pd  0.922  0.750  0.414
Pd  0.933  0.005  0.195
Pd  0.933  0.495  0.195



The following is a calculated powder diffractogram of La5PmBi6. It was derived from a crystal structure in Alexandria, relaxed with PBE, using CuKα.

Largest 10 diffraction maxima, most intense first, 15° ≤ 2θ ≤ 90°:
3.313 Å, rel. 100; 2.343 Å, rel. 79; 1.482 Å, rel. 38; 1.913 Å, rel. 29; 1.352 Å, rel. 28; 1.104 Å, rel. 20; 1.656 Å, rel. 14; 1.171 Å, rel. 9; 3.825 Å, rel. 7; 1.998 Å, rel. 4

abc: 8.115 8.115 8.115
angles: 99.60 99.60 119.99
Atoms (fractional coordinates):
La  0.000  0.000  0.000
La  0.166  0.834  0.500
La  0.332  0.668  0.000
La  0.668  0.332  0.000
La  0.834  0.166  0.500
Pm  0.500  0.500  0.500
Bi  0.087  0.417  0.252
Bi  0.253  0.253  0.749
Bi  0.417  0.087  0.252
Bi  0.583  0.913  0.748
Bi  0.747  0.747  0.251
Bi  0.913  0.583  0.748



The following is a calculated powder diffractogram of LaPm3Bi3. It was derived from a crystal structure in Alexandria, relaxed with PBE, using CuKα.

Largest 10 diffraction maxima, most intense first, 15° ≤ 2θ ≤ 90°:
3.066 Å, rel. 100; 2.591 Å, rel. 65; 1.573 Å, rel. 31; 1.319 Å, rel. 20; 1.901 Å, rel. 20; 2.168 Å, rel. 20; 1.496 Å, rel. 15; 2.067 Å, rel. 14; 3.958 Å, rel. 13; 1.979 Å, rel. 13

abc: 9.695 9.695 9.695
angles: 90.00 90.00 90.00
Atoms (fractional coordinates):
La  0.071  0.429  0.571
La  0.429  0.571  0.071
La  0.571  0.071  0.429
La  0.929  0.929  0.929
Pm  0.074  0.574  0.926
Pm  0.179  0.821  0.321
Pm  0.180  0.180  0.180
Pm  0.320  0.820  0.680
Pm  0.321  0.179  0.821
Pm  0.426  0.426  0.426
Pm  0.574  0.926  0.074
Pm  0.679  0.679  0.679
Pm  0.680  0.320  0.820
Pm  0.820  0.680  0.320
Pm  0.821  0.321  0.179
Pm  0.926  0.074  0.574
Bi  0.001  0.254  0.879
Bi  0.121  0.501  0.246
Bi  0.246  0.121  0.501
Bi  0.254  0.879  0.001
Bi  0.379  0.499  0.746
Bi  0.499  0.746  0.379
Bi  0.501  0.246  0.121
Bi  0.621  0.999  0.754
Bi  0.746  0.379  0.499
Bi  0.754  0.621  0.999
Bi  0.879  0.001  0.254
Bi  0.999  0.754  0.621



The following is a calculated powder diffractogram of La2PmSmBi5. It was derived from a crystal structure in Alexandria, relaxed with PBE, using CuKα.

Largest 10 diffraction maxima, most intense first, 15° ≤ 2θ ≤ 90°:
2.765 Å, rel. 100; 2.042 Å, rel. 78; 3.027 Å, rel. 58; 3.910 Å, rel. 57; 3.721 Å, rel. 55; 2.808 Å, rel. 43; 3.285 Å, rel. 41; 1.642 Å, rel. 40; 1.955 Å, rel. 37; 1.145 Å, rel. 29

abc: 5.530 5.530 12.109
angles: 90.00 90.00 90.00
Atoms (fractional coordinates):
La  0.000  0.000  0.222
La  0.000  0.000  0.778
Pm  0.500  0.500  0.500
Sm  0.500  0.500  0.000
Bi  0.000  0.000  0.500
Bi  0.000  0.500  0.000
Bi  0.500  0.000  0.000
Bi  0.500  0.500  0.253
Bi  0.500  0.500  0.747



The following is a calculated powder diffractogram of LaTb2PmBi4. It was derived from a crystal structure in Alexandria, relaxed with PBE, using CuKα.

Largest 10 diffraction maxima, most intense first, 15° ≤ 2θ ≤ 90°:
3.231 Å, rel. 100; 2.285 Å, rel. 78; 1.446 Å, rel. 25; 1.867 Å, rel. 22; 1.320 Å, rel. 21; 1.616 Å, rel. 13; 1.444 Å, rel. 12; 1.863 Å, rel. 7; 1.318 Å, rel. 7; 1.143 Å, rel. 5

abc: 7.905 4.575 7.917
angles: 90.00 109.50 90.00
Atoms (fractional coordinates):
La  0.000  0.000  0.000
Tb  0.500  0.000  0.500
Tb  0.500  0.500  0.000
Pm  0.000  0.500  0.500
Bi  0.258  0.000  0.750
Bi  0.260  0.500  0.256
Bi  0.740  0.500  0.744
Bi  0.742  0.000  0.250



The following is a calculated powder diffractogram of LaPm2ThBi4. It was derived from a crystal structure in Alexandria, relaxed with PBE, using CuKα.

Largest 10 diffraction maxima, most intense first, 15° ≤ 2θ ≤ 90°:
3.263 Å, rel. 100; 2.307 Å, rel. 79; 1.459 Å, rel. 38; 1.884 Å, rel. 29; 1.332 Å, rel. 28; 1.631 Å, rel. 14; 1.154 Å, rel. 9; 3.768 Å, rel. 2; 1.968 Å, rel. 1; 5.837 Å, rel. 1

abc: 7.990 7.990 7.990
angles: 131.78 131.78 70.57
Atoms (fractional coordinates):
La  0.000  0.000  0.000
Pm  0.500  0.500  0.000
Pm  0.750  0.250  0.500
Th  0.250  0.750  0.500
Bi  0.001  0.501  0.500
Bi  0.252  0.252  0.000
Bi  0.499  0.999  0.500
Bi  0.748  0.748  0.000



The following is a calculated powder diffractogram of LaPm2TmBi5. It was derived from a crystal structure in Alexandria, relaxed with PBE, using CuKα.

Largest 10 diffraction maxima, most intense first, 15° ≤ 2θ ≤ 90°:
2.686 Å, rel. 100; 2.015 Å, rel. 85; 3.048 Å, rel. 67; 3.799 Å, rel. 60; 3.627 Å, rel. 49; 3.224 Å, rel. 44; 1.612 Å, rel. 42; 2.775 Å, rel. 41; 1.899 Å, rel. 37; 2.377 Å, rel. 32

abc: 5.372 5.372 12.192
angles: 90.00 90.00 90.00
Atoms (fractional coordinates):
La  0.000  0.000  0.000
Pm  0.500  0.500  0.269
Pm  0.500  0.500  0.731
Tm  0.000  0.000  0.500
Bi  0.000  0.000  0.252
Bi  0.000  0.000  0.748
Bi  0.000  0.500  0.500
Bi  0.500  0.000  0.500
Bi  0.500  0.500  0.000